No. 1
Starting from a PBE-relaxed structure, the PXRD pattern of SrGa9Co2 was calculated for Cu Kα, 1.54184 Å.
No peak broadening, texture or thermal motion is included.

```
SrGa9Co2
1.0
7.9303 0.0000 0.0000
-3.9652 6.8679 0.0000
0.0000 0.0000 3.8946
Sr Ga Co
1 9 2
direct
0.0000 0.0000 0.0000 Sr
0.0000 0.5000 0.0000 Ga
0.2083 0.4166 0.5000 Ga
0.2083 0.7917 0.5000 Ga
0.4166 0.2083 0.5000 Ga
0.5000 0.0000 0.0000 Ga
0.5000 0.5000 0.0000 Ga
0.5834 0.7917 0.5000 Ga
0.7917 0.2083 0.5000 Ga
0.7917 0.5834 0.5000 Ga
0.3333 0.6667 0.0000 Co
0.6667 0.3333 0.0000 Co
```

Peak list (8 most intense, 10 to 90 degrees two-theta, by intensity)
d [Å]  Rel. int.
2.576  100
2.160  59
1.983  42
1.947  30
6.868  30
1.974  29
2.779  27
1.389  25


No. 2
Starting from a PBE-relaxed structure, the PXRD pattern of Tb2Ga9Co3 was calculated for Cu Kα, 1.54184 Å.
No peak broadening, texture or thermal motion is included.

```
Tb2Ga9Co3
1.0
6.3723 -3.6984 0.0000
6.3723 3.6984 0.0000
0.0000 0.0000 9.4371
Tb Ga Co
4 18 6
direct
0.0028 0.6684 0.7500 Tb
0.3316 0.9972 0.7500 Tb
0.6684 0.0028 0.2500 Tb
0.9972 0.3316 0.2500 Tb
0.9996 0.3341 0.5716 Ga
0.9996 0.3341 0.9284 Ga
0.0004 0.6659 0.0716 Ga
0.0004 0.6659 0.4284 Ga
0.1216 0.8784 0.2500 Ga
0.3341 0.9996 0.0716 Ga
0.3341 0.9996 0.4284 Ga
0.3338 0.6662 0.5572 Ga
0.3338 0.6662 0.9428 Ga
0.3365 0.4502 0.2500 Ga
0.4502 0.3365 0.7500 Ga
0.5498 0.6635 0.2500 Ga
0.6635 0.5498 0.7500 Ga
0.6659 0.0004 0.5716 Ga
0.6659 0.0004 0.9284 Ga
0.6662 0.3338 0.0572 Ga
0.6662 0.3338 0.4428 Ga
0.8784 0.1216 0.7500 Ga
0.0000 0.0000 0.0000 Co
0.0000 0.0000 0.5000 Co
0.3292 0.3292 0.0000 Co
0.3292 0.3292 0.5000 Co
0.6708 0.6708 0.0000 Co
0.6708 0.6708 0.5000 Co
```

Peak list (8 most intense, 10 to 90 degrees two-theta, by intensity)
d [Å]  Rel. int.
2.394  100
2.132  46
2.124  23
2.359  17
2.338  14
3.435  12
1.277  11
1.275  11


No. 3
Starting from a PBE-relaxed structure, the PXRD pattern of Tb2Ga6Co9 was calculated for Cu Kα, 1.54184 Å.
No peak broadening, texture or thermal motion is included.

```
Tb2Ga6Co9
1.0
5.1221 0.0000 0.0000
-2.5610 4.4358 0.0000
0.0000 0.0000 11.6396
Tb Ga Co
2 6 9
direct
0.0000 0.0000 0.1721 Tb
0.0000 0.0000 0.8279 Tb
0.3333 0.6667 0.1636 Ga
0.3333 0.6667 0.5000 Ga
0.3333 0.6667 0.8364 Ga
0.6667 0.3333 0.1636 Ga
0.6667 0.3333 0.5000 Ga
0.6667 0.3333 0.8364 Ga
0.0000 0.5000 0.0000 Co
0.0000 0.5000 0.3306 Co
0.0000 0.5000 0.6694 Co
0.5000 0.0000 0.0000 Co
0.5000 0.0000 0.3306 Co
0.5000 0.0000 0.6694 Co
0.5000 0.5000 0.0000 Co
0.5000 0.5000 0.3306 Co
0.5000 0.5000 0.6694 Co
```

Peak list (8 most intense, 10 to 90 degrees two-theta, by intensity)
d [Å]  Rel. int.
2.137  100
2.561  31
2.218  27
1.382  25
1.940  24
2.920  22
1.925  19
1.281  17


No. 4
Starting from a PBE-relaxed structure, the PXRD pattern of Tb3Ga3Co2 was calculated for Cu Kα, 1.54184 Å.
No peak broadening, texture or thermal motion is included.

```
Tb3Ga3Co2
1.0
2.0817 -5.1227 0.0000
2.0817 5.1227 0.0000
0.0000 0.0000 14.7141
Tb Ga Co
6 6 4
direct
0.0739 0.9261 0.6084 Tb
0.0739 0.9261 0.8916 Tb
0.3555 0.6445 0.7500 Tb
0.6445 0.3555 0.2500 Tb
0.9261 0.0739 0.1084 Tb
0.9261 0.0739 0.3916 Tb
0.3465 0.6535 0.2500 Ga
0.3594 0.6406 0.5374 Ga
0.3594 0.6406 0.9626 Ga
0.6406 0.3594 0.0374 Ga
0.6406 0.3594 0.4626 Ga
0.6535 0.3465 0.7500 Ga
0.2147 0.7853 0.1056 Co
0.2147 0.7853 0.3944 Co
0.7853 0.2147 0.6056 Co
0.7853 0.2147 0.8944 Co
```

Peak list (8 most intense, 10 to 90 degrees two-theta, by intensity)
d [Å]  Rel. int.
2.662  100
2.599  42
2.325  40
2.082  36
2.640  23
2.145  23
2.452  20
2.270  19


No. 5
Starting from a PBE-relaxed structure, the PXRD pattern of Tb6Ga3Co was calculated for Cu Kα, 1.54184 Å.
No peak broadening, texture or thermal motion is included.

```
Tb6Ga3Co
1.0
8.7026 0.0000 0.0000
0.0000 11.1430 0.0000
0.0000 0.0000 5.0671
Tb Ga Co
12 6 2
direct
0.0047 0.2412 0.0000 Tb
0.1586 0.0821 0.5000 Tb
0.1805 0.4241 0.5000 Tb
0.3195 0.9241 0.0000 Tb
0.3414 0.5821 0.0000 Tb
0.4953 0.7412 0.5000 Tb
0.5047 0.2588 0.5000 Tb
0.6586 0.4179 0.0000 Tb
0.6805 0.0759 0.0000 Tb
0.8195 0.5759 0.5000 Tb
0.8414 0.9179 0.5000 Tb
0.9953 0.7588 0.0000 Tb
0.0000 0.5000 0.0000 Ga
0.1615 0.7469 0.5000 Ga
0.3385 0.2469 0.0000 Ga
0.5000 0.0000 0.5000 Ga
0.6615 0.7531 0.0000 Ga
0.8385 0.2531 0.5000 Ga
0.0000 0.0000 0.0000 Co
0.5000 0.5000 0.5000 Co
```

Peak list (8 most intense, 10 to 90 degrees two-theta, by intensity)
d [Å]  Rel. int.
2.517  100
2.833  88
2.534  52
2.349  41
2.825  38
1.886  24
1.495  23
3.443  22


No. 6
Starting from a PBE-relaxed structure, the PXRD pattern of Tb2Ga3Co14 was calculated for Cu Kα, 1.54184 Å.
No peak broadening, texture or thermal motion is included.

```
Tb2Ga3Co14
1.0
4.1919 2.4202 4.1031
-4.1919 2.4202 4.1031
0.0000 -4.8404 4.1031
Tb Ga Co
2 3 14
direct
0.0000 0.0000 0.0000 Tb
0.3268 0.3268 0.3268 Tb
0.0076 0.0076 0.5030 Ga
0.0076 0.5030 0.0076 Ga
0.5030 0.0076 0.0076 Ga
0.1629 0.6548 0.6548 Co
0.3197 0.3197 0.8033 Co
0.3197 0.8033 0.3197 Co
0.3726 0.6575 0.9444 Co
0.3726 0.9444 0.6575 Co
0.5645 0.5645 0.5645 Co
0.6548 0.1629 0.6548 Co
0.6548 0.6548 0.1629 Co
0.6575 0.3726 0.9444 Co
0.6575 0.9444 0.3726 Co
0.7517 0.7517 0.7517 Co
0.8033 0.3197 0.3197 Co
0.9444 0.3726 0.6575 Co
0.9444 0.6575 0.3726 Co
```

Peak list (8 most intense, 10 to 90 degrees two-theta, by intensity)
d [Å]  Rel. int.
2.085  100
2.096  68
2.051  47
2.932  45
2.420  36
2.347  28
1.466  27
1.210  22


No. 7
Starting from a PBE-relaxed structure, the PXRD pattern of TbGa3Co was calculated for Cu Kα, 1.54184 Å.
No peak broadening, texture or thermal motion is included.

```
TbGa3Co
1.0
8.1946 0.0000 0.0000
0.0000 4.0872 0.0000
0.0000 0.0000 10.4634
Tb Ga Co
4 12 4
direct
0.1977 0.2500 0.0152 Tb
0.3023 0.7500 0.5152 Tb
0.6977 0.2500 0.4848 Tb
0.8023 0.7500 0.9848 Tb
0.0542 0.2500 0.5836 Ga
0.1151 0.7500 0.7925 Ga
0.1430 0.7500 0.2190 Ga
0.3570 0.2500 0.7190 Ga
0.3849 0.2500 0.2925 Ga
0.4458 0.7500 0.0836 Ga
0.5542 0.2500 0.9164 Ga
0.6151 0.7500 0.7075 Ga
0.6430 0.7500 0.2810 Ga
0.8570 0.2500 0.7810 Ga
0.8849 0.2500 0.2075 Ga
0.9458 0.7500 0.4164 Ga
0.1056 0.2500 0.3524 Co
0.3944 0.7500 0.8524 Co
0.6056 0.2500 0.1476 Co
0.8944 0.7500 0.6476 Co
```

Peak list (8 most intense, 10 to 90 degrees two-theta, by intensity)
d [Å]  Rel. int.
2.524  100
2.532  88
2.219  44
2.044  43
2.643  28
3.453  24
1.500  20
1.255  20


No. 8
Starting from a PBE-relaxed structure, the PXRD pattern of Tb11Ga9Co4 was calculated for Cu Kα, 1.54184 Å.
No peak broadening, texture or thermal motion is included.

```
Tb11Ga9Co4
1.0
6.8880 -10.2929 0.0000
6.8880 10.2929 0.0000
0.0000 0.0000 3.5923
Tb Ga Co
11 9 4
direct
0.0000 0.0000 0.0000 Tb
0.0742 0.4142 0.0000 Tb
0.1688 0.8312 0.0000 Tb
0.3110 0.3110 0.0000 Tb
0.3753 0.6247 0.0000 Tb
0.4142 0.0742 0.0000 Tb
0.5858 0.9258 0.0000 Tb
0.6247 0.3753 0.0000 Tb
0.6890 0.6890 0.0000 Tb
0.8312 0.1688 0.0000 Tb
0.9258 0.5858 0.0000 Tb
0.0824 0.2205 0.5000 Ga
0.1678 0.6285 0.5000 Ga
0.2205 0.0824 0.5000 Ga
0.3715 0.8322 0.5000 Ga
0.5000 0.5000 0.5000 Ga
0.6285 0.1678 0.5000 Ga
0.7795 0.9176 0.5000 Ga
0.8322 0.3715 0.5000 Ga
0.9176 0.7795 0.5000 Ga
0.2427 0.4458 0.5000 Co
0.4458 0.2427 0.5000 Co
0.5542 0.7573 0.5000 Co
0.7573 0.5542 0.5000 Co
```

Peak list (8 most intense, 10 to 90 degrees two-theta, by intensity)
d [Å]  Rel. int.
2.484  100
2.431  34
2.333  23
1.796  16
2.616  14
1.445  13
3.066  12
2.656  12


No. 9
Starting from a PBE-relaxed structure, the PXRD pattern of Tb3Ga9Co2 was calculated for Cu Kα, 1.54184 Å.
No peak broadening, texture or thermal motion is included.

```
Tb3Ga9Co2
1.0
-2.1097 4.7352 6.1202
2.1097 -4.7352 6.1202
2.1097 4.7352 -6.1202
Tb Ga Co
3 9 2
direct
0.0000 0.0000 0.0000 Tb
0.3035 0.3035 0.0000 Tb
0.6965 0.6965 0.0000 Tb
0.0133 0.6516 0.3617 Ga
0.1530 0.8702 0.2828 Ga
0.2899 0.6516 0.6383 Ga
0.4126 0.1298 0.2828 Ga
0.5000 0.0000 0.5000 Ga
0.5874 0.8702 0.7172 Ga
0.7101 0.3484 0.3617 Ga
0.8470 0.1298 0.7172 Ga
0.9867 0.3484 0.6383 Ga
0.3211 0.5000 0.8211 Co
0.6789 0.5000 0.1789 Co
```

Peak list (8 most intense, 10 to 90 degrees two-theta, by intensity)
d [Å]  Rel. int.
2.494  100
2.528  36
2.110  34
2.038  28
2.397  22
2.570  21
2.933  20
1.334  18


No. 10
Starting from a PBE-relaxed structure, the PXRD pattern of Tb2Ga2Co was calculated for Cu Kα, 1.54184 Å.
No peak broadening, texture or thermal motion is included.

```
Tb2Ga2Co
1.0
5.4012 -2.0758 0.0000
5.4012 2.0758 0.0000
-4.8137 0.0000 9.2197
Tb Ga Co
4 4 2
direct
0.0080 0.0080 0.3341 Tb
0.1912 0.1912 0.1190 Tb
0.8088 0.8088 0.8810 Tb
0.9920 0.9920 0.6659 Tb
0.3440 0.3440 0.4392 Ga
0.4860 0.4860 0.1200 Ga
0.5140 0.5140 0.8800 Ga
0.6560 0.6560 0.5608 Ga
0.2802 0.2802 0.6428 Co
0.7198 0.7198 0.3572 Co
```

Peak list (8 most intense, 10 to 90 degrees two-theta, by intensity)
d [Å]  Rel. int.
2.705  100
2.641  63
2.075  48
2.239  47
2.442  39
2.695  33
2.305  27
1.446  23


No. 11
Starting from a PBE-relaxed structure, the PXRD pattern of Tb3Ga3Co2 was calculated for Cu Kα, 1.54184 Å.
No peak broadening, texture or thermal motion is included.

```
Tb3Ga3Co2
1.0
7.4465 0.0000 0.0000
0.0000 14.7772 0.0000
0.0000 0.0000 5.7283
Tb Ga Co
12 12 8
direct
0.0341 0.1066 0.1224 Tb
0.0341 0.3934 0.1224 Tb
0.1634 0.2500 0.6386 Tb
0.3366 0.7500 0.1386 Tb
0.4659 0.6066 0.6224 Tb
0.4659 0.8934 0.6224 Tb
0.5341 0.1066 0.3776 Tb
0.5341 0.3934 0.3776 Tb
0.6634 0.2500 0.8614 Tb
0.8366 0.7500 0.3614 Tb
0.9659 0.6066 0.8776 Tb
0.9659 0.8934 0.8776 Tb
0.1694 0.0400 0.6070 Ga
0.1694 0.4600 0.6070 Ga
0.1783 0.7500 0.6209 Ga
0.3217 0.2500 0.1209 Ga
0.3306 0.5400 0.1070 Ga
0.3306 0.9600 0.1070 Ga
0.6694 0.0400 0.8930 Ga
0.6694 0.4600 0.8930 Ga
0.6783 0.7500 0.8791 Ga
0.8217 0.2500 0.3791 Ga
0.8306 0.5400 0.3930 Ga
0.8306 0.9600 0.3930 Ga
0.1301 0.6053 0.3877 Co
0.1301 0.8947 0.3877 Co
0.3699 0.1053 0.8877 Co
0.3699 0.3947 0.8877 Co
0.6301 0.6053 0.1123 Co
0.6301 0.8947 0.1123 Co
0.8699 0.1053 0.6123 Co
0.8699 0.3947 0.6123 Co
```

Peak list (8 most intense, 10 to 90 degrees two-theta, by intensity)
d [Å]  Rel. int.
2.632  100
2.623  76
2.350  69
2.278  68
2.384  66
2.866  58
2.463  40
2.673  37